# 1
For Bi12RuO20, a cell relaxed with PBE gives the simulated PXRD pattern in this record (CuKα).

The 10 most intense peaks (10° ≤ 2θ ≤ 80°), sorted by position:
two_theta, I (rel.)
24.33, 18
27.25, 100
29.91, 23
32.37, 66
44.65, 17
51.49, 35
53.10, 19
54.68, 28
60.70, 22
77.12, 15

```
Bi12RuO20
1.0
-5.174 5.174 5.174
5.174 -5.174 5.174
5.174 5.174 -5.174
Bi Ru O
12 1 20
Direct
0.144 0.840 0.337
0.160 0.303 0.497
0.193 0.697 0.856
0.303 0.497 0.160
0.337 0.144 0.840
0.497 0.160 0.303
0.503 0.807 0.663
0.663 0.503 0.807
0.697 0.856 0.193
0.807 0.663 0.503
0.840 0.337 0.144
0.856 0.193 0.697
0.000 0.000 0.000
0.000 0.000 0.387
0.000 0.000 0.788
0.000 0.387 0.000
0.000 0.788 0.000
0.115 0.360 0.737
0.212 0.212 0.212
0.245 0.885 0.623
0.263 0.623 0.377
0.360 0.737 0.115
0.377 0.263 0.623
0.377 0.640 0.755
0.387 0.000 0.000
0.613 0.613 0.613
0.623 0.245 0.885
0.623 0.377 0.263
0.640 0.755 0.377
0.737 0.115 0.360
0.755 0.377 0.640
0.788 0.000 0.000
0.885 0.623 0.245
```



# 2
For LaFe9Si4, a cell relaxed with PBE gives the simulated PXRD pattern in this record (CuKα).

The 10 most intense peaks (10° ≤ 2θ ≤ 80°), sorted by position:
two_theta, I (rel.)
30.98, 16
35.04, 22
35.91, 23
36.20, 16
38.73, 26
39.53, 100
47.11, 33
48.02, 40
48.47, 24
56.73, 14

```
LaFe9Si4
1.0
-3.924 3.924 5.773
3.924 -3.924 5.773
3.924 3.924 -5.773
La Fe Si
2 18 8
Direct
0.250 0.250 0.000
0.750 0.750 0.000
0.000 0.500 0.500
0.056 0.556 0.253
0.067 0.799 0.867
0.197 0.944 0.500
0.201 0.067 0.268
0.299 0.567 0.867
0.303 0.803 0.747
0.433 0.299 0.732
0.444 0.697 0.500
0.500 0.000 0.500
0.556 0.303 0.500
0.567 0.701 0.268
0.697 0.197 0.253
0.701 0.433 0.133
0.799 0.933 0.732
0.803 0.056 0.500
0.933 0.201 0.133
0.944 0.444 0.747
0.052 0.208 0.500
0.208 0.708 0.157
0.292 0.448 0.500
0.448 0.948 0.157
0.552 0.052 0.843
0.708 0.552 0.500
0.792 0.292 0.843
0.948 0.792 0.500
```



# 3
For TaTi2Nb6, a cell relaxed with PBE gives the simulated PXRD pattern in this record (CuKα).

The 10 most intense peaks (10° ≤ 2θ ≤ 80°), sorted by position:
two_theta, I (rel.)
27.64, 21
32.16, 28
34.71, 8
38.71, 100
40.27, 70
51.18, 8
57.08, 27
65.96, 7
70.06, 17
71.11, 25

```
TaTi2Nb6
1.0
2.326 1.343 8.981
-2.326 1.343 8.981
0.000 -2.686 8.981
Ta Ti Nb
1 2 6
Direct
0.000 0.000 0.000
0.097 0.097 0.097
0.903 0.903 0.903
0.193 0.193 0.193
0.297 0.297 0.297
0.415 0.415 0.415
0.585 0.585 0.585
0.703 0.703 0.703
0.807 0.807 0.807
```



# 4
For CsCdPbCl5, a cell relaxed with PBE gives the simulated PXRD pattern in this record (CuKα).

The 10 most intense peaks (10° ≤ 2θ ≤ 80°), sorted by position:
two_theta, I (rel.)
18.49, 100
20.16, 76
22.87, 84
23.06, 63
25.36, 37
29.43, 32
34.96, 26
36.97, 37
40.60, 29
43.31, 36

```
CsCdPbCl5
1.0
4.807 -6.501 0.000
4.807 6.501 0.000
-4.182 0.000 9.582
Cs Cd Pb Cl
2 2 2 10
Direct
0.157 0.843 0.750
0.843 0.157 0.250
0.187 0.813 0.250
0.813 0.187 0.750
0.500 0.500 0.000
0.500 0.500 0.500
0.114 0.253 0.932
0.183 0.599 0.388
0.253 0.114 0.432
0.401 0.817 0.112
0.419 0.581 0.750
0.581 0.419 0.250
0.599 0.183 0.888
0.747 0.886 0.568
0.817 0.401 0.612
0.886 0.747 0.068
```